1.
For Cs2VAgS4, the PBE geometry in the Materials Project gives the calculated powder diffraction line list in this record (CuKα).
No peak broadening, texture or thermal motion is included.

Cell and atoms:
Cell lengths 5.8759, 14.4000, 24.8435 Å; angles 90.00, 90.00, 90.00 degrees
Space group Fddd (No. 70, origin choice 2)
Asymmetric unit:
Cs 0.1250 0.1250 0.3031 [16 per cell]
V 0.1250 0.1250 0.1250 [8 per cell]
Ag 0.1250 0.1250 0.6250 [8 per cell]
S 0.0778 0.2844 0.4268 [32 per cell]

Largest 8 diffraction maxima, sorted by position, 10 to 90 degrees two-theta:
2θ (°)	I (rel.)	h k l
14.3	24	0 0 4
19.5	49	1 1 3
24.8	100	0 2 6
26.3	79	1 3 3
30.0	22	1 3 5
32.9	34	2 2 0
37.5	32	2 0 6
45.5	27	2 4 6

2.
For K2TbO3, the PBE geometry in the Materials Project gives the calculated powder diffraction line list in this record (CuKα).
No peak broadening, texture or thermal motion is included.

Cell and atoms:
Cell lengths 6.3172, 10.9778, 12.6115 Å; angles 90.00, 99.94, 90.00 degrees
Space group C2/c (No. 15)
Asymmetric unit:
K 0.0000 0.0857 0.2500 [4 per cell]
K 0.2364 0.0788 0.9998 [8 per cell]
K 0.2500 0.2500 0.5000 [4 per cell]
Tb 0.0000 0.2476 0.7500 [4 per cell]
Tb 0.0000 0.4182 0.2500 [4 per cell]
O 0.0759 0.4147 0.6519 [8 per cell]
O 0.1599 0.1089 0.6514 [8 per cell]
O 0.1606 0.2804 0.1513 [8 per cell]

Largest 8 diffraction maxima, sorted by position, 10 to 90 degrees two-theta:
2θ (°)	I (rel.)	h k l
14.3	88	0 0 2
28.7	50	0 0 4
29.8	100	2 0 -2
34.2	95	1 3 -3
34.4	47	2 0 2
48.6	31	1 3 5
50.0	29	3 3 -1
58.5	27	3 3 -5